# 1
Starting from a DFT-relaxed cell (GGA-PBE, the Materials Project), the powder X-ray diffraction pattern of ZnCuAs was simulated for Cu Ka.
Intensities are scaled so that the largest is 100.

Most intense lines, 2θ = 10–90°, in order of rising 2θ:
- 2θ = 25.83°, d 3.450, intensity 25
- 2θ = 26.64°, d 3.346, intensity 31
- 2θ = 41.16°, d 2.193, intensity 22
- 2θ = 43.29°, d 2.090, intensity 28
- 2θ = 44.13°, d 2.052, intensity 100
- 2θ = 46.77°, d 1.942, intensity 17

Structural model:
```
ZnCuAs
1.0
8.7732 0.0000 0.0000
0.0000 4.1800 0.0000
0.0000 0.0000 5.5850
Zn Cu As
4 4 4
Cartesian
1.3381 0.9387 0.0000
3.0485 3.0287 2.7925
5.7247 1.1512 0.0000
7.4352 3.2412 2.7925
1.3130 0.9375 2.7433
3.0736 3.0274 5.5358
5.6996 1.1525 2.7433
7.4602 3.2425 5.5358
0.8693 3.0466 4.1776
3.5173 0.9566 1.3851
5.2559 3.2234 4.1776
7.9039 1.1334 1.3851
```



# 2
Starting from a DFT-relaxed cell (GGA-PBE, the Materials Project), the powder X-ray diffraction pattern of Li3SbN2 was simulated for Cu Ka.
Intensities are scaled so that the largest is 100.

Most intense lines, 2θ = 10–90°, in order of rising 2θ:
- 2θ = 20.57°, d 4.318, intensity 100
- 2θ = 31.65°, d 2.827, intensity 93
- 2θ = 33.90°, d 2.644, intensity 21
- 2θ = 47.05°, d 1.931, intensity 17
- 2θ = 48.70°, d 1.870, intensity 29
- 2θ = 53.39°, d 1.716, intensity 33

Structural model:
```
Li3SbN2
1.0
-5.2890 5.2890 5.2890
5.2890 -5.2890 5.2890
5.2890 5.2890 -5.2890
Li Sb N
24 8 16
Cartesian
4.1553 -3.6073 3.8226
6.9706 1.4664 -1.1336
3.8226 4.1553 -3.6073
6.4226 -1.6817 3.8226
3.8226 -1.1336 3.6073
8.8963 1.4664 1.1336
3.6073 3.8226 -1.1336
3.8226 1.1336 1.6817
6.4226 1.6817 1.4664
3.8226 6.4226 -1.6817
1.6817 3.8226 1.1336
4.1553 3.6073 1.4664
1.1336 1.6817 3.8226
3.6073 1.4664 4.1553
1.4664 -1.1336 6.9706
-1.1336 3.6073 3.8226
1.4664 4.1553 3.6073
1.6817 1.4664 6.4226
-3.6073 3.8226 4.1553
1.4664 6.4226 1.6817
-1.1336 6.9706 1.4664
1.4664 1.1336 8.8963
-1.6817 3.8226 6.4226
1.1336 8.8963 1.4664
4.1719 1.1170 -1.1170
6.4060 -1.1170 1.1170
1.1170 1.1170 1.1170
1.1170 -1.1170 4.1719
-1.1170 4.1719 1.1170
1.1170 6.4060 -1.1170
-1.1170 1.1170 6.4060
4.1719 4.1719 4.1719
2.6445 2.6445 -2.6445
2.6445 -2.6445 2.6445
7.9334 0.0472 0.0000
5.2890 -2.6445 5.2418
5.2418 5.2890 -2.6445
5.2418 0.0000 2.6445
5.2890 2.6445 0.0472
2.6445 5.2418 0.0000
-2.6445 2.6445 2.6445
2.6445 2.6445 2.6445
2.6445 0.0472 5.2890
0.0000 2.6445 5.2418
0.0472 5.2890 2.6445
0.0472 0.0000 7.9334
0.0000 7.9334 0.0472
-2.6445 5.2418 5.2890
```



# 3
Starting from a DFT-relaxed cell (GGA-PBE, the Materials Project), the powder X-ray diffraction pattern of DyH9C5N2O8 was simulated for Cu Ka.
Intensities are scaled so that the largest is 100.

Most intense lines, 2θ = 10–90°, in order of rising 2θ:
- 2θ = 13.90°, d 6.372, intensity 27
- 2θ = 14.00°, d 6.326, intensity 100
- 2θ = 17.26°, d 5.138, intensity 74
- 2θ = 28.21°, d 3.163, intensity 27
- 2θ = 28.38°, d 3.145, intensity 22
- 2θ = 29.87°, d 2.991, intensity 23

Structural model:
```
DyH9C5N2O8
1.0
3.3945 -9.2297 0.0000
3.3945 9.2297 0.0000
0.0000 0.0000 8.6872
Dy H C N O
2 18 10 4 16
Cartesian
3.3945 6.5954 6.5154
3.3945 -6.5954 2.1718
1.9825 3.8756 8.2132
1.8364 1.7268 5.2368
1.5971 0.0000 0.0000
3.3945 3.4257 2.1718
2.3426 0.1279 5.8420
3.3945 2.8492 6.5154
2.3426 -0.1279 2.8452
1.8364 -1.7268 3.4504
4.8066 3.8756 4.8177
1.9825 -3.8756 0.4741
4.9527 1.7268 7.7941
4.4465 0.1279 7.1888
3.3945 -2.8492 2.1718
4.4465 -0.1279 1.4984
3.3945 -3.4257 6.5154
5.1919 0.0000 4.3436
4.9527 -1.7268 0.8932
4.8066 -3.8756 3.8696
1.7949 4.7196 0.2200
0.4882 0.0000 0.0000
3.3945 2.3200 2.1718
3.3945 1.7537 6.5154
4.9942 4.7196 4.1236
1.7949 -4.7196 8.4672
3.3945 -1.7537 2.1718
3.3945 -2.3200 6.5154
6.3009 0.0000 4.3436
4.9942 -4.7196 4.5636
2.4701 1.1487 5.8006
2.4701 -1.1487 2.8866
4.3190 1.1487 7.2302
4.3190 -1.1487 1.4570
2.1876 5.8693 8.5484
3.2842 8.3195 8.0456
2.1992 4.7648 5.6552
3.5049 8.3195 4.9852
2.2766 1.7303 2.0384
4.6015 5.8693 4.4824
4.5899 4.7648 7.3756
2.2766 -1.7303 6.6488
4.5125 1.7303 2.3052
2.1992 -4.7648 3.0320
2.1876 -5.8693 0.1388
4.5125 -1.7303 6.3820
3.2842 -8.3195 0.6416
4.5899 -4.7648 1.3116
3.5049 -8.3195 3.7020
4.6015 -5.8693 4.2048
```



# 4
Starting from a DFT-relaxed cell (GGA-PBE, the Materials Project), the powder X-ray diffraction pattern of Nb4Pb3O13 was simulated for Cu Ka.
Intensities are scaled so that the largest is 100.

Most intense lines, 2θ = 10–90°, in order of rising 2θ:
- 2θ = 24.90°, d 3.576, intensity 11
- 2θ = 28.83°, d 3.097, intensity 100
- 2θ = 33.41°, d 2.682, intensity 36
- 2θ = 47.95°, d 1.897, intensity 35
- 2θ = 56.94°, d 1.617, intensity 44
- 2θ = 79.97°, d 1.200, intensity 13

Structural model:
```
Nb4Pb3O13
1.0
7.5941 0.0000 0.0000
0.0000 7.5743 0.0000
0.0000 0.0000 10.7332
Nb Pb O
8 6 26
Cartesian
0.0000 0.0000 0.0000
0.0000 3.7871 5.3666
1.8985 1.8822 2.7257
1.8985 5.6921 2.7257
3.7971 0.0000 0.0000
3.7971 3.7871 5.3666
5.6956 1.8822 8.0075
5.6956 5.6921 8.0075
0.0000 3.7871 0.0000
1.8985 1.8805 7.9367
1.8985 5.6938 7.9367
3.7971 3.7871 0.0000
5.6956 1.8805 2.7965
5.6956 5.6938 2.7965
0.4355 1.4460 1.3414
0.4355 6.1283 1.3414
0.4576 2.3949 3.9978
0.4576 5.1794 3.9978
1.8985 0.0000 3.2493
1.8985 0.0000 10.0503
1.8985 3.7871 1.9355
1.8985 3.7871 6.0638
1.8985 3.7871 9.0991
3.3395 2.3949 3.9978
3.3395 5.1794 3.9978
3.3616 1.4460 1.3414
3.3616 6.1283 1.3414
4.2326 1.4460 9.3918
4.2326 6.1283 9.3918
4.2547 2.3949 6.7354
4.2547 5.1794 6.7354
5.6956 0.0000 0.6828
5.6956 0.0000 7.4839
5.6956 3.7871 1.6341
5.6956 3.7871 4.6694
5.6956 3.7871 8.7977
7.1365 2.3949 6.7354
7.1365 5.1794 6.7354
7.1586 1.4460 9.3918
7.1586 6.1283 9.3918
```